Entry 1:
Starting from a DFT-relaxed cell (GGA-PBE, Alexandria), the powder X-ray diffraction pattern of HoCd23Hg6 was computed for a wavelength of 1.5418 Å.

Atomic structure:
Cell: 14.203 14.203 14.203 Å, 90.00 90.00 90.00°
Space group Fm-3m (No. 225)
Inequivalent atoms, fractional coordinates:
Ho 0.000 0.000 0.000 [4 per cell]
Cd 0.000 0.000 0.500 [4 per cell]
Cd 0.000 0.250 0.250 [24 per cell]
Cd 0.123 0.123 0.377 [32 per cell]
Cd 0.152 0.152 0.152 [32 per cell]
Hg 0.000 0.000 0.220 [24 per cell]

Principal peaks in the range 10° ≤ 2θ ≤ 90°, by angle:
| Position (°2θ) | I/Imax |
| --- | --- |
| 28.10 | 11 |
| 30.84 | 6 |
| 32.76 | 27 |
| 35.76 | 100 |
| 38.01 | 7 |
| 49.28 | 11 |
| 51.47 | 12 |
| 62.37 | 7 |
| 64.26 | 20 |
| 68.31 | 13 |

Entry 2:
Starting from a DFT-relaxed cell (GGA-PBE, Alexandria), the powder X-ray diffraction pattern of Ho6CdHg6 was computed for a wavelength of 1.5418 Å.

Atomic structure:
Cell: 6.2163 6.2163 10.4346 Å, 90.00 90.00 120.00°
Space group P6/mmm (No. 191)
Inequivalent atoms, fractional coordinates:
Ho 0.0000 0.0000 0.1733 [2 per cell]
Ho 0.3333 0.6667 0.0000 [2 per cell]
Ho 0.3333 0.6667 0.5000 [2 per cell]
Cd 0.0000 0.0000 0.5000 [1 per cell]
Hg 0.0000 0.5000 0.2521 [6 per cell]

Principal peaks in the range 10° ≤ 2θ ≤ 90°, by angle:
| Position (°2θ) | I/Imax |
| --- | --- |
| 28.72 | 19 |
| 33.29 | 47 |
| 33.56 | 51 |
| 34.38 | 28 |
| 37.60 | 100 |
| 38.34 | 19 |
| 59.48 | 27 |
| 61.06 | 21 |
| 70.54 | 22 |
| 72.52 | 18 |